Entry 1:
This entry pairs a crystal structure of SmAl3Pd2 with its computed powder diffractogram. Radiation: Cu Kα (weighted mean of Kα1 and Kα2). Structure: the PBE geometry in the Materials Project.
No peak broadening, texture or thermal motion is included.

Structural model:
Unit cell a=5.4584 b=5.4584 c=4.2254 alpha=90.00 beta=90.00 gamma=120.00
Positions (direct):
Sm 0.0000 0.0000 0.0000
Al 0.0000 0.5000 0.5000
Al 0.5000 0.0000 0.5000
Al 0.5000 0.5000 0.5000
Pd 0.3333 0.6667 0.0000
Pd 0.6667 0.3333 0.0000

Peak list (6 most intense, 10 to 80 degrees two-theta, sorted by position)
(hkl), d_spacing, I_rel
0 0 1, 4.225, 43.6
1 1 0, 2.729, 61.1
1 1 1, 2.293, 100.0
0 0 2, 2.113, 16.9
1 1 2, 1.671, 27.9
3 0 1, 1.476, 24.6

***

Entry 2:
This entry pairs a crystal structure of Ba3LiTi3O8 with its computed powder diffractogram. Radiation: Cu Kα (weighted mean of Kα1 and Kα2). Structure: the PBE geometry in the Materials Project.
No peak broadening, texture or thermal motion is included.

Structural model:
Unit cell a=5.7608 b=5.7963 c=7.1464 alpha=87.86 beta=88.60 gamma=61.29
Positions (direct):
Ba 0.0000 0.0000 0.0000
Ba 0.2949 0.3915 0.7013
Ba 0.7051 0.6085 0.2987
Li 0.5000 0.0000 0.5000
Ti 0.0000 0.0000 0.5000
Ti 0.3607 0.3171 0.1826
Ti 0.6393 0.6829 0.8174
O 0.1720 0.6500 0.3294
O 0.1829 0.1538 0.3351
O 0.3279 0.8489 0.6620
O 0.5000 0.0000 0.0000
O 0.5000 0.5000 0.0000
O 0.6721 0.1511 0.3380
O 0.8171 0.8462 0.6649
O 0.8280 0.3500 0.6706

Peak list (6 most intense, 10 to 80 degrees two-theta, sorted by position)
(hkl), d_spacing, I_rel
1 1 2, 2.948, 85.3
1 0 -2, 2.906, 33.2
1 2 0, 2.895, 37.4
2 1 0, 2.881, 100.0
2 0 2, 2.069, 31.7
2 2 -2, 2.006, 29.4

***

Entry 3:
This entry pairs a crystal structure of AlCoN2 with its computed powder diffractogram. Radiation: Cu Kα (weighted mean of Kα1 and Kα2). Structure: the PBE geometry in the Materials Project.
No peak broadening, texture or thermal motion is included.

Structural model:
Unit cell a=4.3322 b=4.3322 c=8.8195 alpha=90.00 beta=90.00 gamma=90.00
Positions (direct):
Al 0.0000 0.0000 0.0000
Al 0.0000 0.5000 0.2500
Al 0.5000 0.0000 0.7500
Al 0.5000 0.5000 0.5000
Co 0.0000 0.0000 0.5000
Co 0.0000 0.5000 0.7500
Co 0.5000 0.0000 0.2500
Co 0.5000 0.5000 0.0000
N 0.2471 0.7500 0.6250
N 0.2500 0.2471 0.3750
N 0.2500 0.2529 0.8750
N 0.2529 0.7500 0.1250
N 0.7471 0.2500 0.1250
N 0.7500 0.7471 0.8750
N 0.7500 0.7529 0.3750
N 0.7529 0.2500 0.6250

Peak list (6 most intense, 10 to 80 degrees two-theta, sorted by position)
(hkl), d_spacing, I_rel
1 0 1, 3.888, 22.8
1 1 2, 2.516, 100.0
2 0 0, 2.166, 14.9
2 0 4, 1.545, 28.9
2 2 0, 1.532, 14.0
3 1 2, 1.308, 21.7

***

Entry 4:
This entry pairs a crystal structure of CeNd3C8 with its computed powder diffractogram. Radiation: Cu Kα (weighted mean of Kα1 and Kα2). Structure: the PBE geometry in the Materials Project.
No peak broadening, texture or thermal motion is included.

Structural model:
Unit cell a=3.8466 b=3.8466 c=12.8567 alpha=90.00 beta=90.00 gamma=90.00
Positions (direct):
Ce 0.0000 0.0000 0.0000
Nd 0.0000 0.0000 0.5000
Nd 0.5000 0.5000 0.2487
Nd 0.5000 0.5000 0.7513
C 0.0000 0.0000 0.1990
C 0.0000 0.0000 0.3001
C 0.0000 0.0000 0.6999
C 0.0000 0.0000 0.8010
C 0.5000 0.5000 0.0507
C 0.5000 0.5000 0.4498
C 0.5000 0.5000 0.5502
C 0.5000 0.5000 0.9493

Peak list (6 most intense, 10 to 80 degrees two-theta, sorted by position)
(hkl), d_spacing, I_rel
1 0 2, 3.301, 100.0
0 0 4, 3.214, 34.1
1 1 0, 2.720, 52.8
1 1 4, 2.076, 39.5
1 0 6, 1.872, 28.8
2 1 2, 1.662, 29.8

***

Entry 5:
This entry pairs a crystal structure of LiCuP3O9 with its computed powder diffractogram. Radiation: Cu Kα (weighted mean of Kα1 and Kα2). Structure: the PBE geometry in the Materials Project.
No peak broadening, texture or thermal motion is included.

Structural model:
Unit cell a=9.5913 b=9.6052 c=9.6271 alpha=105.86 beta=106.86 gamma=112.68
Positions (direct):
Li 0.1382 0.3331 0.1812
Li 0.1523 0.5683 0.0013
Li 0.8477 0.4317 0.9987
Li 0.8618 0.6669 0.8188
Cu 0.2419 0.7304 0.7818
Cu 0.3976 0.2071 0.2863
Cu 0.6024 0.7929 0.7137
Cu 0.7581 0.2696 0.2182
P 0.0128 0.6483 0.3993
P 0.0759 0.8356 0.2042
P 0.1832 0.0695 0.9112
P 0.3128 0.4163 0.5764
P 0.4533 0.7128 0.3436
P 0.4867 0.1049 0.8533
P 0.5133 0.8951 0.1467
P 0.5467 0.2872 0.6564
P 0.6872 0.5837 0.4236
P 0.8168 0.9305 0.0888
P 0.9241 0.1644 0.7958
P 0.9872 0.3517 0.6007
O 0.0057 0.6763 0.0567
O 0.0623 0.5144 0.7501
O 0.0668 0.1148 0.7955
O 0.1046 0.8847 0.8582
O 0.1082 0.8018 0.3630
O 0.1341 0.6727 0.5532
O 0.1350 0.3223 0.5811
O 0.2356 0.9824 0.2415
O 0.2380 0.1870 0.0836
O 0.2867 0.3700 0.4058
O 0.2884 0.5730 0.2054
O 0.3413 0.1397 0.8702
O 0.3453 0.7564 0.0057
O 0.3955 0.3225 0.6547
O 0.4070 0.5988 0.6973
O 0.4446 0.9284 0.8251
O 0.4604 0.7694 0.5079
O 0.4846 0.1240 0.6936
O 0.5154 0.8760 0.3064
O 0.5396 0.2306 0.4921
O 0.5554 0.0716 0.1749
O 0.5930 0.4012 0.3027
O 0.6045 0.6775 0.3453
O 0.6547 0.2436 0.9943
O 0.6587 0.8603 0.1298
O 0.7116 0.4270 0.7946
O 0.7133 0.6300 0.5942
O 0.7620 0.8130 0.9164
O 0.7644 0.0176 0.7585
O 0.8650 0.6777 0.4189
O 0.8659 0.3273 0.4468
O 0.8918 0.1982 0.6370
O 0.8954 0.1153 0.1418
O 0.9332 0.8852 0.2045
O 0.9377 0.4856 0.2499
O 0.9943 0.3237 0.9433

Peak list (6 most intense, 10 to 80 degrees two-theta, sorted by position)
(hkl), d_spacing, I_rel
1 -1 0, 7.963, 38.1
0 1 -1, 7.652, 85.8
-2 1 1, 4.559, 37.6
0 2 0, 3.988, 41.7
2 1 -1, 3.419, 35.6
-3 2 1, 3.007, 100.0

***

Entry 6:
This entry pairs a crystal structure of Eu2Si2O7 with its computed powder diffractogram. Radiation: Cu Kα (weighted mean of Kα1 and Kα2). Structure: the PBE geometry in the Materials Project.
No peak broadening, texture or thermal motion is included.

Structural model:
Unit cell a=14.2012 b=8.4690 c=5.1459 alpha=90.00 beta=90.00 gamma=90.00
Positions (direct):
Eu 0.1258 0.0053 0.1589
Eu 0.1258 0.4947 0.1589
Eu 0.3742 0.5053 0.6589
Eu 0.3742 0.9947 0.6589
Eu 0.6258 0.0053 0.3411
Eu 0.6258 0.4947 0.3411
Eu 0.8742 0.5053 0.8411
Eu 0.8742 0.9947 0.8411
Si 0.0366 0.7500 0.6227
Si 0.1777 0.2500 0.6262
Si 0.3223 0.7500 0.1262
Si 0.4634 0.2500 0.1227
Si 0.5366 0.7500 0.8773
Si 0.6777 0.2500 0.8738
Si 0.8223 0.7500 0.3738
Si 0.9634 0.2500 0.3773
O 0.0449 0.5848 0.7869
O 0.0449 0.9152 0.7869
O 0.0792 0.2500 0.4473
O 0.0982 0.7500 0.3551
O 0.1552 0.2500 0.9349
O 0.2297 0.0887 0.5221
O 0.2297 0.4113 0.5221
O 0.2703 0.5887 0.0221
O 0.2703 0.9113 0.0221
O 0.3448 0.7500 0.4349
O 0.4018 0.2500 0.8551
O 0.4208 0.7500 0.9473
O 0.4551 0.0848 0.2869
O 0.4551 0.4152 0.2869
O 0.5449 0.5848 0.7131
O 0.5449 0.9152 0.7131
O 0.5792 0.2500 0.0527
O 0.5982 0.7500 0.1449
O 0.6552 0.2500 0.5651
O 0.7297 0.0887 0.9779
O 0.7297 0.4113 0.9779
O 0.7703 0.5887 0.4779
O 0.7703 0.9113 0.4779
O 0.8448 0.7500 0.0651
O 0.9018 0.2500 0.6449
O 0.9208 0.7500 0.5527
O 0.9551 0.0848 0.2131
O 0.9551 0.4152 0.2131

Peak list (6 most intense, 10 to 80 degrees two-theta, sorted by position)
(hkl), d_spacing, I_rel
0 2 0, 4.235, 43.3
2 0 1, 4.167, 83.3
4 0 0, 3.550, 45.9
1 2 1, 3.186, 46.3
2 2 1, 2.970, 100.0
4 2 0, 2.721, 40.0

***

Entry 7:
This entry pairs a crystal structure of BaSb2 with its computed powder diffractogram. Radiation: Cu Kα (weighted mean of Kα1 and Kα2). Structure: the PBE geometry in the Materials Project.
No peak broadening, texture or thermal motion is included.

Structural model:
Unit cell a=11.7588 b=4.4696 c=12.6620 alpha=90.00 beta=100.06 gamma=90.00
Positions (direct):
Ba 0.0589 0.2500 0.2669
Ba 0.2852 0.7500 0.0604
Ba 0.3796 0.2500 0.5885
Ba 0.6204 0.7500 0.4115
Ba 0.7148 0.2500 0.9396
Ba 0.9411 0.7500 0.7331
Sb 0.0547 0.2500 0.9500
Sb 0.0703 0.2500 0.5509
Sb 0.2546 0.7500 0.7741
Sb 0.2918 0.7500 0.3669
Sb 0.3993 0.2500 0.8697
Sb 0.4066 0.2500 0.2719
Sb 0.5934 0.7500 0.7281
Sb 0.6007 0.7500 0.1303
Sb 0.7082 0.2500 0.6331
Sb 0.7454 0.2500 0.2259
Sb 0.9297 0.7500 0.4491
Sb 0.9453 0.7500 0.0500

Peak list (6 most intense, 10 to 80 degrees two-theta, sorted by position)
(hkl), d_spacing, I_rel
1 0 -4, 3.151, 25.4
3 0 -3, 3.112, 29.5
0 1 3, 3.043, 100.0
3 1 0, 2.921, 97.4
3 0 3, 2.610, 33.4
0 2 0, 2.235, 29.6

***

Entry 8:
This entry pairs a crystal structure of Sc2TcPt with its computed powder diffractogram. Radiation: Cu Kα (weighted mean of Kα1 and Kα2). Structure: the PBE geometry in the Materials Project.
No peak broadening, texture or thermal motion is included.

Structural model:
Unit cell a=6.5053 b=6.5053 c=6.5053 alpha=90.00 beta=90.00 gamma=90.00
Positions (direct):
Sc 0.2500 0.2500 0.2500
Sc 0.2500 0.2500 0.7500
Sc 0.2500 0.7500 0.2500
Sc 0.2500 0.7500 0.7500
Sc 0.7500 0.2500 0.2500
Sc 0.7500 0.2500 0.7500
Sc 0.7500 0.7500 0.2500
Sc 0.7500 0.7500 0.7500
Tc 0.0000 0.0000 0.0000
Tc 0.0000 0.5000 0.5000
Tc 0.5000 0.0000 0.5000
Tc 0.5000 0.5000 0.0000
Pt 0.0000 0.0000 0.5000
Pt 0.0000 0.5000 0.0000
Pt 0.5000 0.0000 0.0000
Pt 0.5000 0.5000 0.5000

Peak list (6 most intense, 10 to 80 degrees two-theta, sorted by position)
(hkl), d_spacing, I_rel
1 1 1, 3.756, 13.2
2 0 0, 3.253, 35.8
2 2 0, 2.300, 100.0
4 0 0, 1.626, 16.7
4 2 0, 1.455, 14.4
4 2 2, 1.328, 33.4